# ZnReNi
Computed powder diffractogram, Cu Kα (weighted mean of Kα1 and Kα2). Input: a cell relaxed with GGA-PBE.
Intensities are scaled so that the largest is 100.

Atomic structure:
a b c (Å): 2.697 2.697 19.220
angles (deg): 90.00 90.00 120.00
Atoms (fractional coordinates):
Zn 0.000 0.000 0.000
Zn 0.333 0.667 0.667
Zn 0.667 0.333 0.333
Re 0.000 0.000 0.788
Re 0.333 0.667 0.455
Re 0.667 0.333 0.121
Ni 0.000 0.000 0.561
Ni 0.333 0.667 0.227
Ni 0.667 0.333 0.894

Largest 12 diffraction maxima, by angle, 10° ≤ 2θ ≤ 90°:
2θ 13.8, I = 81
2θ 27.9, I = 24
2θ 38.8, I = 75
2θ 42.3, I = 43
2θ 43.1, I = 100
2θ 45.4, I = 94
2θ 54.8, I = 22
2θ 62.6, I = 22
2θ 69.7, I = 30
2θ 76.2, I = 15
2θ 81.3, I = 16
2θ 85.1, I = 33



# Zr2Re3Ni
Computed powder diffractogram, Cu Kα (weighted mean of Kα1 and Kα2). Input: a cell relaxed with GGA-PBE.
Intensities are scaled so that the largest is 100.

Atomic structure:
a b c (Å): 5.287 5.287 5.287
angles (deg): 58.61 58.61 58.61
Atoms (fractional coordinates):
Zr 0.123 0.123 0.123
Zr 0.877 0.877 0.877
Re 0.000 0.500 0.500
Re 0.500 0.000 0.500
Re 0.500 0.500 0.000
Ni 0.500 0.500 0.500

Largest 12 diffraction maxima, by angle, 10° ≤ 2θ ≤ 90°:
2θ 20.4, I = 64
2θ 33.9, I = 40
2θ 39.9, I = 42
2θ 40.5, I = 74
2θ 40.8, I = 100
2θ 41.4, I = 30
2θ 42.6, I = 89
2θ 49.3, I = 29
2θ 65.0, I = 24
2θ 71.4, I = 32
2θ 73.1, I = 30
2θ 87.7, I = 22



# Zr6ReNi5
Computed powder diffractogram, Cu Kα (weighted mean of Kα1 and Kα2). Input: a cell relaxed with GGA-PBE.
Intensities are scaled so that the largest is 100.

Atomic structure:
a b c (Å): 4.629 6.437 7.837
angles (deg): 114.03 105.74 90.43
Atoms (fractional coordinates):
Zr 0.005 0.256 0.008
Zr 0.337 0.584 0.659
Zr 0.346 0.087 0.666
Zr 0.654 0.913 0.334
Zr 0.663 0.416 0.341
Zr 0.995 0.744 0.992
Re 0.500 0.000 0.000
Ni 0.132 0.680 0.333
Ni 0.134 0.146 0.323
Ni 0.500 0.500 0.000
Ni 0.866 0.854 0.677
Ni 0.868 0.320 0.667

Largest 12 diffraction maxima, by angle, 10° ≤ 2θ ≤ 90°:
2θ 15.2, I = 13
2θ 38.9, I = 51
2θ 39.1, I = 51
2θ 39.3, I = 50
2θ 39.6, I = 100
2θ 39.8, I = 49
2θ 56.0, I = 17
2θ 57.2, I = 16
2θ 57.5, I = 16
2θ 71.1, I = 16
2θ 71.2, I = 16
2θ 71.7, I = 15



# NiRh
Computed powder diffractogram, Cu Kα (weighted mean of Kα1 and Kα2). Input: a cell relaxed with GGA-PBE.
Intensities are scaled so that the largest is 100.

Atomic structure:
a b c (Å): 5.844 5.708 4.843
angles (deg): 66.68 63.76 49.56
Atoms (fractional coordinates):
Ni 0.047 0.703 0.703
Ni 0.297 0.953 0.953
Ni 0.703 0.047 0.047
Ni 0.953 0.297 0.297
Rh 0.193 0.557 0.193
Rh 0.443 0.807 0.443
Rh 0.557 0.193 0.557
Rh 0.807 0.443 0.807

Largest 12 diffraction maxima, by angle, 10° ≤ 2θ ≤ 90°:
2θ 33.2, I = 50
2θ 37.2, I = 86
2θ 38.7, I = 100
2θ 41.8, I = 95
2θ 44.1, I = 55
2θ 50.5, I = 54
2θ 52.5, I = 32
2θ 54.8, I = 54
2θ 65.4, I = 48
2θ 67.1, I = 15
2θ 81.5, I = 17
2θ 84.8, I = 15



# Ni4Rh3
Computed powder diffractogram, Cu Kα (weighted mean of Kα1 and Kα2). Input: a cell relaxed with GGA-PBE.
Intensities are scaled so that the largest is 100.

Atomic structure:
a b c (Å): 3.674 4.492 5.882
angles (deg): 97.87 90.11 114.13
Atoms (fractional coordinates):
Ni 0.145 0.289 0.427
Ni 0.285 0.570 0.853
Ni 0.715 0.430 0.147
Ni 0.855 0.711 0.573
Rh 0.000 0.000 0.000
Rh 0.426 0.851 0.289
Rh 0.574 0.149 0.711

Largest 12 diffraction maxima, by angle, 10° ≤ 2θ ≤ 90°:
2θ 42.4, I = 100
2θ 42.5, I = 99
2θ 48.9, I = 32
2θ 49.6, I = 31
2θ 49.8, I = 31
2θ 72.2, I = 19
2θ 72.3, I = 10
2θ 73.0, I = 19
2θ 87.2, I = 11
2θ 88.2, I = 17
2θ 88.3, I = 11
2θ 88.6, I = 11



# Ni3Rh7
Computed powder diffractogram, Cu Kα (weighted mean of Kα1 and Kα2). Input: a cell relaxed with GGA-PBE.
Intensities are scaled so that the largest is 100.

Atomic structure:
a b c (Å): 7.051 7.051 5.337
angles (deg): 101.20 101.20 31.10
Atoms (fractional coordinates):
Ni 0.000 0.000 0.000
Ni 0.199 0.199 0.598
Ni 0.801 0.801 0.402
Rh 0.000 0.000 0.500
Rh 0.201 0.201 0.107
Rh 0.398 0.398 0.698
Rh 0.400 0.400 0.198
Rh 0.600 0.600 0.802
Rh 0.602 0.602 0.302
Rh 0.799 0.799 0.893

Largest 12 diffraction maxima, by angle, 10° ≤ 2θ ≤ 90°:
2θ 23.7, I = 2
2θ 41.5, I = 100
2θ 48.1, I = 32
2θ 48.4, I = 16
2θ 70.5, I = 10
2θ 70.7, I = 15
2θ 70.8, I = 5
2θ 85.1, I = 6
2θ 85.2, I = 12
2θ 85.3, I = 6
2θ 85.5, I = 6
2θ 85.7, I = 6



# Ni4Rh
Computed powder diffractogram, Cu Kα (weighted mean of Kα1 and Kα2). Input: a cell relaxed with GGA-PBE.
Intensities are scaled so that the largest is 100.

Atomic structure:
a b c (Å): 10.826 10.687 2.525
angles (deg): 86.39 80.15 13.46
Atoms (fractional coordinates):
Ni 0.105 0.105 0.895
Ni 0.298 0.298 0.702
Ni 0.702 0.702 0.298
Ni 0.895 0.895 0.105
Rh 0.500 0.500 0.500

Largest 12 diffraction maxima, by angle, 10° ≤ 2θ ≤ 90°:
2θ 16.7, I = 3
2θ 33.8, I = 3
2θ 41.8, I = 34
2θ 42.5, I = 3
2θ 42.6, I = 31
2θ 45.9, I = 100
2θ 61.2, I = 20
2θ 72.6, I = 6
2θ 79.2, I = 18
2θ 80.4, I = 16
2θ 87.4, I = 7
2θ 88.0, I = 7



# Ni5Rh
Computed powder diffractogram, Cu Kα (weighted mean of Kα1 and Kα2). Input: a cell relaxed with GGA-PBE.
Intensities are scaled so that the largest is 100.

Atomic structure:
a b c (Å): 2.570 2.570 12.288
angles (deg): 90.00 90.00 120.00
Atoms (fractional coordinates):
Ni 0.000 0.000 0.000
Ni 0.333 0.667 0.162
Ni 0.333 0.667 0.675
Ni 0.667 0.333 0.325
Ni 0.667 0.333 0.838
Rh 0.000 0.000 0.500

Largest 12 diffraction maxima, by angle, 10° ≤ 2θ ≤ 90°:
2θ 14.4, I = 4
2θ 21.7, I = 2
2θ 36.6, I = 2
2θ 41.2, I = 3
2θ 43.2, I = 100
2θ 44.2, I = 30
2θ 46.4, I = 2
2θ 50.7, I = 60
2θ 68.0, I = 2
2θ 73.7, I = 18
2θ 75.2, I = 17
2θ 89.5, I = 11